Entry 1:
For TlNCl2, the GGA-PBE geometry in Alexandria gives the calculated XRD peak list in this record (CuKα).
Intensities are scaled so that the largest is 100.

Cell and atoms:
```
8
Lattice="-4.4766 4.4766 4.1671 4.4766 -4.4766 4.1671 4.4766 4.4766 -4.1671" Properties=species:S:1:pos:R:3 pbc="T T T"
Tl 4.4766 0.0000 0.0000
Tl 0.0000 4.4766 0.0000
N 0.0000 0.0000 2.0966
N 0.0000 0.0000 6.2637
Cl 3.2167 -1.2599 2.0834
Cl 5.7365 1.2599 2.0834
Cl 1.2599 3.2167 2.0834
Cl -1.2599 5.7365 2.0834
```

Principal peaks in the range 5° ≤ 2θ ≤ 70°, in order of falling intensity:
2θ = 14.0°, d 6.331, I = 100
2θ = 38.4°, d 2.342, I = 47
2θ = 19.8°, d 4.477, I = 39
2θ = 25.6°, d 3.481, I = 36
2θ = 29.3°, d 3.050, I = 30
2θ = 28.2°, d 3.165, I = 20
2θ = 35.6°, d 2.521, I = 15
2θ = 46.0°, d 1.972, I = 14
2θ = 31.6°, d 2.831, I = 13
2θ = 56.9°, d 1.618, I = 12

---

Entry 2:
For TaSn2Cl8, the GGA-PBE geometry in Alexandria gives the calculated XRD peak list in this record (CuKα).
Intensities are scaled so that the largest is 100.

Cell and atoms:
```
11
Lattice="12.6735 -1.7561 0.0000 12.6735 1.7561 0.0000 -2.1286 0.0000 8.1524" Properties=species:S:1:pos:R:3 pbc="T T T"
Ta 0.0000 0.0000 0.0000
Sn 7.9029 0.0000 1.6570
Sn 15.3156 0.0000 6.4954
Cl 2.1992 0.0000 0.7198
Cl 1.8131 0.0000 4.6498
Cl 4.6908 0.0000 6.4143
Cl 12.1229 0.0000 1.6980
Cl 11.0955 0.0000 6.4545
Cl 18.5277 0.0000 1.7381
Cl 21.4053 0.0000 3.5027
Cl 21.0192 0.0000 7.4326
```

Principal peaks in the range 5° ≤ 2θ ≤ 70°, in order of falling intensity:
2θ = 15.7°, d 5.631, I = 100
2θ = 10.9°, d 8.152, I = 94
2θ = 14.5°, d 6.115, I = 85
2θ = 33.3°, d 2.693, I = 53
2θ = 21.7°, d 4.088, I = 35
2θ = 42.4°, d 2.131, I = 30
2θ = 28.7°, d 3.108, I = 27
2θ = 21.2°, d 4.199, I = 27
2θ = 27.6°, d 3.227, I = 22
2θ = 41.2°, d 2.192, I = 20

---

Entry 3:
For NbCdSnTe2, the GGA-PBE geometry in Alexandria gives the calculated XRD peak list in this record (CuKα).
Intensities are scaled so that the largest is 100.

Cell and atoms:
```
5
Lattice="5.6188 0.0000 0.0000 0.0000 5.6188 0.0000 0.0000 0.0000 5.2531" Properties=species:S:1:pos:R:3 pbc="T T T"
Nb 0.0000 0.0000 0.0000
Cd 2.8094 2.8094 2.6265
Sn 2.8094 2.8094 0.0000
Te 0.0000 2.8094 2.6265
Te 2.8094 0.0000 2.6265
```

Principal peaks in the range 5° ≤ 2θ ≤ 70°, in order of falling intensity:
2θ = 28.2°, d 3.169, I = 100
2θ = 31.9°, d 2.809, I = 100
2θ = 47.4°, d 1.919, I = 65
2θ = 34.1°, d 2.627, I = 41
2θ = 45.7°, d 1.987, I = 36
2θ = 58.2°, d 1.584, I = 35
2θ = 54.5°, d 1.683, I = 32
2θ = 15.8°, d 5.619, I = 31
2θ = 16.9°, d 5.253, I = 15
2θ = 57.5°, d 1.602, I = 14

---

Entry 4:
For KNa8Tl4, the GGA-PBE geometry in Alexandria gives the calculated XRD peak list in this record (CuKα).
Intensities are scaled so that the largest is 100.

Cell and atoms:
```
13
Lattice="-5.6951 5.6951 3.3413 5.6951 -5.6951 3.3413 5.6951 5.6951 -3.3413" Properties=species:S:1:pos:R:3 pbc="T T T"
K 0.0000 0.0000 0.0000
Na 3.8682 0.0000 0.0000
Na 7.5219 0.0000 0.0000
Na 5.6951 3.1409 0.0000
Na 0.0000 3.8682 0.0000
Na 3.1409 5.6951 0.0000
Na 2.5541 0.0000 3.3413
Na 0.0000 7.5219 0.0000
Na 0.0000 2.5541 3.3413
Tl 2.8475 2.8475 -1.6707
Tl 2.8475 -2.8475 1.6707
Tl -2.8475 2.8475 1.6707
Tl 2.8475 2.8475 1.6707
```

Principal peaks in the range 5° ≤ 2θ ≤ 70°, in order of falling intensity:
2θ = 15.6°, d 5.695, I = 100
2θ = 31.0°, d 2.882, I = 56
2θ = 34.9°, d 2.571, I = 44
2θ = 22.1°, d 4.027, I = 42
2θ = 35.2°, d 2.547, I = 36
2θ = 31.4°, d 2.848, I = 35
2θ = 44.7°, d 2.026, I = 34
2θ = 58.2°, d 1.585, I = 17
2θ = 41.7°, d 2.167, I = 14
2θ = 65.3°, d 1.428, I = 13

---

Entry 5:
For TaMo2Pb, the GGA-PBE geometry in Alexandria gives the calculated XRD peak list in this record (CuKα).
Intensities are scaled so that the largest is 100.

Cell and atoms:
```
4
Lattice="-1.7122 2.3393 4.5458 1.7122 -2.3393 4.5458 1.7122 2.3393 -4.5458" Properties=species:S:1:pos:R:3 pbc="T T T"
Ta 0.0000 0.0000 0.0000
Mo 1.7122 0.0000 2.1585
Mo 0.0000 2.3393 2.3873
Pb 0.0000 0.0000 4.5458
```

Principal peaks in the range 5° ≤ 2θ ≤ 70°, in order of falling intensity:
2θ = 38.1°, d 2.361, I = 100
2θ = 38.5°, d 2.339, I = 25
2θ = 39.7°, d 2.273, I = 22
2θ = 69.4°, d 1.355, I = 17
2θ = 56.4°, d 1.630, I = 16
2θ = 19.5°, d 4.546, I = 13
2θ = 53.5°, d 1.712, I = 9
2θ = 67.8°, d 1.382, I = 9
2θ = 68.6°, d 1.368, I = 9
2θ = 32.4°, d 2.763, I = 8

---

Entry 6:
For RbPClO3, the GGA-PBE geometry in Alexandria gives the calculated XRD peak list in this record (CuKα).
Intensities are scaled so that the largest is 100.

Cell and atoms:
```
12
Lattice="4.6046 -6.4337 0.0000 4.6046 6.4337 0.0000 -0.3990 0.0000 4.7198" Properties=species:S:1:pos:R:3 pbc="T T T"
Rb 4.3054 3.3299 3.5398
Rb 4.5049 -3.3299 1.1799
P 4.5049 0.4945 1.1799
P 4.3054 -0.4945 3.5398
Cl 4.5049 6.2350 1.1799
Cl 4.3054 -6.2350 3.5398
O 4.5049 2.0262 1.1799
O 3.3448 0.3372 2.5501
O 3.5443 -0.3372 0.1902
O 5.2659 0.3372 4.5295
O 5.4654 -0.3372 2.1696
O 4.3054 -2.0262 3.5398
```

Principal peaks in the range 5° ≤ 2θ ≤ 70°, in order of falling intensity:
2θ = 19.3°, d 4.588, I = 100
2θ = 30.3°, d 2.949, I = 32
2θ = 27.7°, d 3.217, I = 29
2θ = 29.2°, d 3.054, I = 24
2θ = 34.0°, d 2.634, I = 23
2θ = 21.6°, d 4.120, I = 19
2θ = 41.5°, d 2.174, I = 15
2θ = 11.8°, d 7.471, I = 14
2θ = 42.2°, d 2.143, I = 14
2θ = 23.0°, d 3.872, I = 13

---

What did the fourth record say?
For KNa8Tl4, the GGA-PBE geometry in Alexandria gives the calculated XRD peak list in this record (CuKα).
Intensities are scaled so that the largest is 100.

Cell and atoms:
```
13
Lattice="-5.6951 5.6951 3.3413 5.6951 -5.6951 3.3413 5.6951 5.6951 -3.3413" Properties=species:S:1:pos:R:3 pbc="T T T"
K 0.0000 0.0000 0.0000
Na 3.8682 0.0000 0.0000
Na 7.5219 0.0000 0.0000
Na 5.6951 3.1409 0.0000
Na 0.0000 3.8682 0.0000
Na 3.1409 5.6951 0.0000
Na 2.5541 0.0000 3.3413
Na 0.0000 7.5219 0.0000
Na 0.0000 2.5541 3.3413
Tl 2.8475 2.8475 -1.6707
Tl 2.8475 -2.8475 1.6707
Tl -2.8475 2.8475 1.6707
Tl 2.8475 2.8475 1.6707
```

Principal peaks in the range 5° ≤ 2θ ≤ 70°, in order of falling intensity:
2θ = 15.6°, d 5.695, I = 100
2θ = 31.0°, d 2.882, I = 56
2θ = 34.9°, d 2.571, I = 44
2θ = 22.1°, d 4.027, I = 42
2θ = 35.2°, d 2.547, I = 36
2θ = 31.4°, d 2.848, I = 35
2θ = 44.7°, d 2.026, I = 34
2θ = 58.2°, d 1.585, I = 17
2θ = 41.7°, d 2.167, I = 14
2θ = 65.3°, d 1.428, I = 13